Simulated powder diffractogram
Compound: VAuF
Radiation: a wavelength of 1.5418 Å
Structure: a crystal structure in Alexandria, relaxed with GGA+U
Intensities are scaled so that the largest is 100.

Principal peaks in the range 2θ = 10–90°, in order of rising 2θ:
| Position (°2θ) | intensity | index |
| --- | --- | --- |
| 10.59 | 100.0 | 2 0 0 |
| 15.16 | 13.7 | 2 0 -1 |
| 25.69 | 17.4 | 3 1 0 |
| 27.98 | 10.9 | 2 0 -2 |
| 33.20 | 23.5 | 5 1 -1 |
| 33.59 | 12.1 | 5 1 0 |
| 34.81 | 21.4 | 1 1 -2 |
| 37.60 | 21.3 | 1 1 2 |
| 40.10 | 11.9 | 5 1 1 |
| 40.72 | 16.2 | 0 2 0 |
| 41.51 | 20.2 | 7 1 -1 |
| 43.18 | 12.3 | 3 1 2 |

Atomic structure:
a = 17.552 Å, b = 4.432 Å, c = 6.389 Å
α = 90.00°, β = 107.88°, γ = 90.00°
Space group C2/m (No. 12)
Unique sites:
V (0.080, 0.000, 0.223)
V (0.164, 0.000, 0.856)
Au (0.171, 0.500, 0.163)
Au (0.235, 0.500, 0.658)
F (0.045, 0.000, 0.878)
F (0.094, 0.000, 0.542)